Simulated powder XRD pattern of Hf2Mo4S3N3 for Cu Kα (weighted mean of Kα1 and Kα2), from a structure optimized by DFT (PBE).

Crystal structure
Unit cell a=9.7731 b=5.7008 c=12.0166 alpha=90.00 beta=105.40 gamma=90.00
Space group C2/c (No. 15)
One atom of each set of equivalent atoms:
Hf: 0.0621 0.0965 0.3991 [8 per cell]
Mo: 0.1053 0.4481 0.5932 [8 per cell]
Mo: 0.1868 0.4194 0.8999 [8 per cell]
S: 0.0000 0.4246 0.2500 [4 per cell]
S: 0.1727 0.1019 0.7476 [8 per cell]
N: 0.0752 0.2310 0.9995 [8 per cell]
N: 0.2500 0.2500 0.5000 [4 per cell]

Principal peaks in the range 10° ≤ 2θ ≤ 90°, in order of rising 2θ:
2θ = 15.30°, 5.793 Å, rel. 37
2θ = 30.87°, 2.896 Å, rel. 41
2θ = 31.39°, 2.850 Å, rel. 33
2θ = 31.64°, 2.828 Å, rel. 58
2θ = 32.59°, 2.748 Å, rel. 54
2θ = 39.29°, 2.293 Å, rel. 100
2θ = 39.39°, 2.287 Å, rel. 96
2θ = 39.59°, 2.276 Å, rel. 95
2θ = 56.03°, 1.641 Å, rel. 51
2θ = 65.19°, 1.431 Å, rel. 30

***

Simulated powder XRD pattern of Cu4Bi7S12 for Cu Kα (weighted mean of Kα1 and Kα2), from a structure optimized by DFT (PBE).

Crystal structure
Unit cell a=18.1924 b=3.9618 c=15.2074 alpha=90.00 beta=102.13 gamma=90.00
Space group C2/m (No. 12)
One atom of each set of equivalent atoms:
Cu: 0.0924 0.0000 0.4920 [4 per cell]
Cu: 0.1548 0.0000 0.1387 [4 per cell]
Bi: 0.0000 0.5000 0.0000 [2 per cell]
Bi: 0.0058 0.5000 0.7195 [4 per cell]
Bi: 0.1704 0.0000 0.9099 [4 per cell]
Bi: 0.2396 0.5000 0.3706 [4 per cell]
S: 0.0154 0.0000 0.8753 [4 per cell]
S: 0.0249 0.0000 0.6085 [4 per cell]
S: 0.1500 0.0000 0.2848 [4 per cell]
S: 0.1570 0.5000 0.7826 [4 per cell]
S: 0.1612 0.5000 0.0609 [4 per cell]
S: 0.1618 0.5000 0.4980 [4 per cell]

Principal peaks in the range 10° ≤ 2θ ≤ 90°, in order of rising 2θ:
2θ = 23.92°, 3.720 Å, rel. 83
2θ = 25.44°, 3.501 Å, rel. 34
2θ = 27.07°, 3.294 Å, rel. 48
2θ = 27.89°, 3.199 Å, rel. 40
2θ = 28.43°, 3.140 Å, rel. 52
2θ = 28.62°, 3.119 Å, rel. 100
2θ = 30.13°, 2.967 Å, rel. 31
2θ = 32.64°, 2.743 Å, rel. 52
2θ = 45.00°, 2.014 Å, rel. 30
2θ = 45.81°, 1.981 Å, rel. 35

***

Simulated powder XRD pattern of Au6SeCl for Cu Kα (weighted mean of Kα1 and Kα2), from a structure optimized by DFT (PBE).

Crystal structure
Unit cell a=9.1970 b=9.1970 c=9.1970 alpha=90.00 beta=90.00 gamma=90.00
Space group F-43m (No. 216)
One atom of each set of equivalent atoms:
Au: 0.0000 0.0000 0.2149 [24 per cell]
Se: 0.2500 0.2500 0.2500 [4 per cell]
Cl: 0.0000 0.0000 0.5000 [4 per cell]

Principal peaks in the range 10° ≤ 2θ ≤ 90°, in order of rising 2θ:
2θ = 16.70°, 5.310 Å, rel. 24
2θ = 19.30°, 4.599 Å, rel. 36
2θ = 33.76°, 2.655 Å, rel. 100
2θ = 39.18°, 2.299 Å, rel. 54
2θ = 42.86°, 2.110 Å, rel. 24
2θ = 51.64°, 1.770 Å, rel. 33
2θ = 56.61°, 1.626 Å, rel. 28
2θ = 67.56°, 1.387 Å, rel. 24
2θ = 73.54°, 1.288 Å, rel. 17
2θ = 80.16°, 1.197 Å, rel. 19

***

Simulated powder XRD pattern of CdMoPd2 for Cu Kα (weighted mean of Kα1 and Kα2), from a structure optimized by DFT (PBE).

Crystal structure
Unit cell a=6.4055 b=6.4055 c=6.4055 alpha=90.00 beta=90.00 gamma=90.00
Space group F-43m (No. 216)
One atom of each set of equivalent atoms:
Cd: 0.0000 0.0000 0.0000 [4 per cell]
Mo: 0.2500 0.2500 0.7500 [4 per cell]
Pd: 0.0000 0.0000 0.5000 [4 per cell]
Pd: 0.2500 0.2500 0.2500 [4 per cell]

Principal peaks in the range 10° ≤ 2θ ≤ 90°, in order of rising 2θ:
2θ = 39.80°, 2.265 Å, rel. 100
2θ = 57.56°, 1.601 Å, rel. 16
2θ = 72.26°, 1.308 Å, rel. 33
2θ = 85.82°, 1.132 Å, rel. 11

***

Simulated powder XRD pattern of YTmAu6 for Cu Kα (weighted mean of Kα1 and Kα2), from a structure optimized by DFT (PBE).

Crystal structure
Unit cell a=5.0214 b=6.1454 c=5.1276 alpha=90.00 beta=90.00 gamma=90.00
Space group Pmm2 (No. 25)
One atom of each set of equivalent atoms:
Y: 0.0000 0.0000 0.0000 [1 per cell]
Tm: 0.5000 0.5000 0.3128 [1 per cell]
Au: 0.0000 0.2592 0.4948 [2 per cell]
Au: 0.0000 0.5000 0.9941 [1 per cell]
Au: 0.5000 0.0000 0.3262 [1 per cell]
Au: 0.5000 0.2485 0.8189 [2 per cell]

Principal peaks in the range 10° ≤ 2θ ≤ 90°, in order of rising 2θ:
2θ = 34.01°, 2.636 Å, rel. 27
2θ = 35.76°, 2.511 Å, rel. 42
2θ = 38.58°, 2.334 Å, rel. 100
2θ = 39.46°, 2.283 Å, rel. 52
2θ = 50.18°, 1.818 Å, rel. 18
2θ = 62.15°, 1.494 Å, rel. 17
2θ = 66.13°, 1.413 Å, rel. 21
2θ = 66.74°, 1.402 Å, rel. 11
2θ = 73.82°, 1.284 Å, rel. 21
2θ = 74.43°, 1.275 Å, rel. 16

***

Simulated powder XRD pattern of Lu2Fe12P7 for Cu Kα (weighted mean of Kα1 and Kα2), from a structure optimized by DFT (PBE).

Crystal structure
Unit cell a=8.9120 b=8.9120 c=3.6053 alpha=90.00 beta=90.00 gamma=120.00
Space group P-6 (No. 174)
One atom of each set of equivalent atoms:
Lu: 0.0000 0.0000 0.0000 [1 per cell]
Lu: 0.3333 0.6667 0.5000 [1 per cell]
Fe: 0.0393 0.7615 0.5000 [3 per cell]
Fe: 0.0993 0.3818 0.0000 [3 per cell]
Fe: 0.4505 0.2382 0.0000 [3 per cell]
Fe: 0.5098 0.0575 0.5000 [3 per cell]
P: 0.0708 0.6230 0.0000 [3 per cell]
P: 0.2547 0.0383 0.5000 [3 per cell]
P: 0.6667 0.3333 0.5000 [1 per cell]

Principal peaks in the range 10° ≤ 2θ ≤ 90°, in order of rising 2θ:
2θ = 27.30°, 3.266 Å, rel. 15
2θ = 30.65°, 2.917 Å, rel. 10
2θ = 34.87°, 2.573 Å, rel. 12
2θ = 39.75°, 2.268 Å, rel. 100
2θ = 40.49°, 2.228 Å, rel. 10
2θ = 49.52°, 1.841 Å, rel. 10
2θ = 50.64°, 1.803 Å, rel. 17
2θ = 54.48°, 1.684 Å, rel. 17
2θ = 58.03°, 1.589 Å, rel. 12
2θ = 77.57°, 1.231 Å, rel. 12

***

Please write out number 5 again, unchanged.
Simulated powder XRD pattern of YTmAu6 for Cu Kα (weighted mean of Kα1 and Kα2), from a structure optimized by DFT (PBE).

Crystal structure
Unit cell a=5.0214 b=6.1454 c=5.1276 alpha=90.00 beta=90.00 gamma=90.00
Space group Pmm2 (No. 25)
One atom of each set of equivalent atoms:
Y: 0.0000 0.0000 0.0000 [1 per cell]
Tm: 0.5000 0.5000 0.3128 [1 per cell]
Au: 0.0000 0.2592 0.4948 [2 per cell]
Au: 0.0000 0.5000 0.9941 [1 per cell]
Au: 0.5000 0.0000 0.3262 [1 per cell]
Au: 0.5000 0.2485 0.8189 [2 per cell]

Principal peaks in the range 10° ≤ 2θ ≤ 90°, in order of rising 2θ:
2θ = 34.01°, 2.636 Å, rel. 27
2θ = 35.76°, 2.511 Å, rel. 42
2θ = 38.58°, 2.334 Å, rel. 100
2θ = 39.46°, 2.283 Å, rel. 52
2θ = 50.18°, 1.818 Å, rel. 18
2θ = 62.15°, 1.494 Å, rel. 17
2θ = 66.13°, 1.413 Å, rel. 21
2θ = 66.74°, 1.402 Å, rel. 11
2θ = 73.82°, 1.284 Å, rel. 21
2θ = 74.43°, 1.275 Å, rel. 16